This entry pairs a crystal structure of ScFe2BiO6 with its theoretical powder XRD pattern. Radiation: Cu Kα, 1.54184 Å. Structure: a DFT-relaxed cell (GGA+U, Alexandria).

Principal peaks in the range 15° ≤ 2θ ≤ 90°, in order of falling intensity:
| 2θ (°) | I (rel.) |
| --- | --- |
| 31.6 | 100 |
| 32.9 | 87 |
| 19.9 | 65 |
| 46.3 | 44 |
| 38.2 | 41 |
| 22.7 | 40 |
| 58.0 | 39 |
| 51.3 | 28 |
| 58.8 | 28 |
| 18.8 | 25 |

Structure:
Cell: 5.668 5.668 5.668 Å, 57.39 57.39 57.39°
Fractional positions:
Sc (0.000, 0.000, 0.000)
Fe (0.291, 0.291, 0.291)
Fe (0.787, 0.787, 0.787)
Bi (0.513, 0.513, 0.513)
O (0.070, 0.682, 0.415)
O (0.135, 0.581, 0.960)
O (0.415, 0.070, 0.682)
O (0.581, 0.960, 0.135)
O (0.682, 0.415, 0.070)
O (0.960, 0.135, 0.581)